[1]
Calculated powder diffractogram of PrEr2In2 for Cu Kα, 1.54184 Å, from a DFT-relaxed cell (PBE, Alexandria).

Crystal structure
```
data_PrEr2In2
_symmetry_space_group_name_H-M 'C m c m'
_symmetry_Int_Tables_number 63
_symmetry_space_group_name_Hall '-C 2c 2'
_cell_length_a 3.7725
_cell_length_b 27.9006
_cell_length_c 5.4351
_cell_angle_alpha 90.00
_cell_angle_beta 90.00
_cell_angle_gamma 90.00
loop_
_atom_site_label
_atom_site_type_symbol
_atom_site_fract_x
_atom_site_fract_y
_atom_site_fract_z
Pr1 Pr 0.0000 0.1477 0.2500
Er1 Er 0.0000 0.0487 0.7500
Er2 Er 0.0000 0.2364 0.7500
In1 In 0.0000 0.3567 0.2500
In2 In 0.0000 0.4537 0.7500
```

Main lines, by angle (5° ≤ 2θ ≤ 70°):
d [Å]  Position (°2θ)  I_rel
2.790  32.08  23
2.718  32.96  27
2.709  33.06  100
1.947  46.66  16
1.886  48.25  9
1.595  57.81  13
1.567  58.92  19
1.563  59.12  8
1.550  59.67  10
1.355  69.37  10

***

[2]
Calculated powder diffractogram of PHI6 for Cu Kα, 1.54184 Å, from a DFT-relaxed cell (PBE, Alexandria).

Crystal structure
```
data_PHI6
_symmetry_space_group_name_H-M 'P -1'
_symmetry_Int_Tables_number 2
_symmetry_space_group_name_Hall '-P 1'
_cell_length_a 7.0835
_cell_length_b 7.4575
_cell_length_c 7.7417
_cell_angle_alpha 94.24
_cell_angle_beta 114.38
_cell_angle_gamma 104.79
loop_
_atom_site_label
_atom_site_type_symbol
_atom_site_fract_x
_atom_site_fract_y
_atom_site_fract_z
P1 P 0.0000 0.0000 0.0000
H1 H 0.0000 0.5000 0.0000
I1 I 0.0033 0.3140 0.8158
I2 I 0.1983 0.2321 0.3620
I3 I 0.4514 0.0918 0.1417
```

Main lines, by angle (5° ≤ 2θ ≤ 70°):
d [Å]  Position (°2θ)  I_rel
7.060  12.54  34
6.139  14.43  38
4.040  22.00  92
3.893  22.84  100
3.819  23.29  44
3.441  25.89  80
3.325  26.81  48
2.839  31.51  53
2.559  35.06  36
2.342  38.43  45

***

[3]
Calculated powder diffractogram of NaAsSe2 for Cu Kα, 1.54184 Å, from a DFT-relaxed cell (PBE, Alexandria).

Crystal structure
```
data_NaAsSe2
_symmetry_space_group_name_H-M 'P n a 21'
_symmetry_Int_Tables_number 33
_symmetry_space_group_name_Hall 'P 2c -2n'
_cell_length_a 10.0233
_cell_length_b 8.6493
_cell_length_c 5.7708
_cell_angle_alpha 90.00
_cell_angle_beta 90.00
_cell_angle_gamma 90.00
loop_
_atom_site_label
_atom_site_type_symbol
_atom_site_fract_x
_atom_site_fract_y
_atom_site_fract_z
Na1 Na 0.0970 0.1050 0.0000
As1 As 0.0530 0.6288 0.9891
Se1 Se 0.0921 0.6018 0.5583
Se2 Se 0.0985 0.1627 0.4988
```

Main lines, by angle (5° ≤ 2θ ≤ 70°):
d [Å]  Position (°2θ)  I_rel
6.548  13.52  47
5.012  17.70  72
4.800  18.48  37
3.971  22.39  75
3.784  23.51  27
2.885  30.99  65
2.644  33.91  100
2.502  35.89  31
2.334  38.57  31
1.949  46.59  64

***

[4]
Calculated powder diffractogram of Tb2SmEr5Tm for Cu Kα, 1.54184 Å, from a DFT-relaxed cell (PBE, Alexandria).

Crystal structure
```
data_Tb2SmEr5Tm
_symmetry_space_group_name_H-M 'I 4/m c m'
_symmetry_Int_Tables_number 140
_symmetry_space_group_name_Hall '-I 4 2c'
_cell_length_a 8.8266
_cell_length_b 8.8266
_cell_length_c 14.6857
_cell_angle_alpha 90.00
_cell_angle_beta 90.00
_cell_angle_gamma 90.00
loop_
_atom_site_label
_atom_site_type_symbol
_atom_site_fract_x
_atom_site_fract_y
_atom_site_fract_z
Tb1 Tb 0.1134 0.3866 0.0000
Sm1 Sm 0.0000 0.0000 0.2500
Er1 Er 0.0000 0.0000 0.0000
Er2 Er 0.2064 0.2936 0.3664
Tm1 Tm 0.0000 0.5000 0.2500
```

Main lines, by angle (5° ≤ 2θ ≤ 70°):
d [Å]  Position (°2θ)  I_rel
3.121  28.60  53
3.073  29.06  48
2.822  31.70  100
2.791  32.07  14
2.609  34.37  12
2.415  37.24  20
2.356  38.19  14
2.118  42.68  15
1.738  52.65  20
1.582  58.32  13

***

[5]
Calculated powder diffractogram of Zr2Zn3Co for Cu Kα, 1.54184 Å, from a DFT-relaxed cell (PBE, Alexandria).

Crystal structure
```
data_Zr2Zn3Co
_symmetry_space_group_name_H-M 'R -3 m'
_symmetry_Int_Tables_number 166
_symmetry_space_group_name_Hall '-R 3 2"'
_cell_length_a 5.1461
_cell_length_b 5.1461
_cell_length_c 12.6354
_cell_angle_alpha 90.00
_cell_angle_beta 90.00
_cell_angle_gamma 120.00
loop_
_atom_site_label
_atom_site_type_symbol
_atom_site_fract_x
_atom_site_fract_y
_atom_site_fract_z
Zr1 Zr 0.0000 0.0000 0.1274
Zn1 Zn 0.0000 0.5000 0.0000
Co1 Co 0.0000 0.0000 0.5000
```

Main lines, by angle (5° ≤ 2θ ≤ 70°):
d [Å]  Position (°2θ)  I_rel
2.575  34.84  38
2.196  41.10  100
2.103  43.02  31
1.821  50.10  2
1.489  62.38  3
1.486  62.50  10
1.403  66.67  9
1.401  66.76  21

***

[6]
Calculated powder diffractogram of Sm3DySe6 for Cu Kα, 1.54184 Å, from a DFT-relaxed cell (PBE, Alexandria).

Crystal structure
```
data_Sm3DySe6
_symmetry_space_group_name_H-M 'R -3'
_symmetry_Int_Tables_number 148
_symmetry_space_group_name_Hall '-R 3'
_cell_length_a 12.1687
_cell_length_b 12.1687
_cell_length_c 14.4857
_cell_angle_alpha 90.00
_cell_angle_beta 90.00
_cell_angle_gamma 120.00
loop_
_atom_site_label
_atom_site_type_symbol
_atom_site_fract_x
_atom_site_fract_y
_atom_site_fract_z
Sm1 Sm 0.0519 0.2715 0.2016
Dy1 Dy 0.0000 0.0000 0.0000
Dy2 Dy 0.0000 0.0000 0.5000
Se1 Se 0.0197 0.2101 0.3975
Se2 Se 0.0325 0.1939 0.8773
```

Main lines, by angle (5° ≤ 2θ ≤ 70°):
d [Å]  Position (°2θ)  I_rel
4.829  18.37  52
4.261  20.85  41
3.841  23.16  79
3.490  25.52  41
2.710  33.05  74
2.680  33.44  100
2.300  39.17  85
2.274  39.63  21
2.244  40.19  38
2.076  43.59  21

***

Repeat the fifth record exactly.
Calculated powder diffractogram of Zr2Zn3Co for Cu Kα, 1.54184 Å, from a DFT-relaxed cell (PBE, Alexandria).

Crystal structure
```
data_Zr2Zn3Co
_symmetry_space_group_name_H-M 'R -3 m'
_symmetry_Int_Tables_number 166
_symmetry_space_group_name_Hall '-R 3 2"'
_cell_length_a 5.1461
_cell_length_b 5.1461
_cell_length_c 12.6354
_cell_angle_alpha 90.00
_cell_angle_beta 90.00
_cell_angle_gamma 120.00
loop_
_atom_site_label
_atom_site_type_symbol
_atom_site_fract_x
_atom_site_fract_y
_atom_site_fract_z
Zr1 Zr 0.0000 0.0000 0.1274
Zn1 Zn 0.0000 0.5000 0.0000
Co1 Co 0.0000 0.0000 0.5000
```

Main lines, by angle (5° ≤ 2θ ≤ 70°):
d [Å]  Position (°2θ)  I_rel
2.575  34.84  38
2.196  41.10  100
2.103  43.02  31
1.821  50.10  2
1.489  62.38  3
1.486  62.50  10
1.403  66.67  9
1.401  66.76  21